LiY4Ag4O12: calculated XRD peak list (λ = 1.5418 Å (Cu Kα)), based on a crystal structure in Alexandria, relaxed with GGA-PBE.
Neutral-atom scattering factors, no anomalous dispersion.

Cell and atoms:
Lattice parameters (Å, degrees): 6.1951 6.9363 7.2361 90.00 107.26 90.00
Fractional coordinates of all 21 atoms:
1 Li 0.0000 0.0000 0.0000
2 Y 0.1580 0.0000 0.6485
3 Y 0.2297 0.5000 0.9036
4 Y 0.6267 0.0000 0.2319
5 Y 0.7560 0.5000 0.3388
6 Ag 0.2021 0.2594 0.2954
7 Ag 0.2021 0.7406 0.2954
8 Ag 0.6939 0.2523 0.7812
9 Ag 0.6939 0.7477 0.7812
10 O 0.0210 0.5000 0.1600
11 O 0.0322 0.2090 0.8497
12 O 0.0322 0.7910 0.8497
13 O 0.3597 0.2837 0.7184
14 O 0.3597 0.7163 0.7184
15 O 0.3644 0.0000 0.4067
16 O 0.4666 0.3013 0.1703
17 O 0.4666 0.6987 0.1703
18 O 0.6709 0.0000 0.9320
19 O 0.7542 0.5000 0.6501
20 O 0.9195 0.1987 0.3955
21 O 0.9195 0.8013 0.3955

The 8 most intense peaks (10° ≤ 2θ ≤ 90°), sorted by position:
Position (°2θ), I/Imax
25.78, 77.1
25.95, 34.7
30.21, 47.0
30.73, 100.0
33.53, 36.5
34.40, 65.5
51.51, 35.8
52.80, 23.4

LiAg2Os: calculated XRD peak list (λ = 1.5418 Å (Cu Kα)), based on a crystal structure in Alexandria, relaxed with GGA-PBE.
Neutral-atom scattering factors, no anomalous dispersion.

Cell and atoms:
Lattice parameters (Å, degrees): 2.7187 2.7187 9.6293 90.00 90.00 116.99
Fractional coordinates of all 4 atoms:
1 Li 0.0000 0.0000 0.0000
2 Ag 0.0000 0.0000 0.4869
3 Ag 0.5000 0.5000 0.7534
4 Os 0.5000 0.5000 0.2282

The 8 most intense peaks (10° ≤ 2θ ≤ 90°), sorted by position:
Position (°2θ), I/Imax
18.43, 36.5
37.35, 32.5
38.31, 16.6
38.85, 31.2
41.74, 100.0
54.99, 20.8
70.37, 17.9
72.32, 19.1